# Li3Mn4O8
Calculated powder diffractogram, Cu Kα. Input: the PBE+U geometry in Alexandria.
Lines closer than 0.1° are merged.

Peak list (12 most intense, 10 to 90 degrees two-theta, by angle)
2theta  I (rel.)  h k l
17.05  70.6  0 0 3
18.33  96.9  1 0 1
33.69  18.7  0 1 5
35.07  40.9  1 1 3
35.75  18.2  0 2 1
37.16  12.8  2 0 2
42.41  100.0  0 2 4
54.74  14.9  0 2 7
56.16  10.5  1 2 5
59.73  29.8  2 0 8
63.29  28.9  2 2 0
79.17  11.4  4 0 4

Structural model:
a b c (Å): 5.8776 5.8776 15.6038
angles (deg): 90.00 90.00 120.00
Space group R-3m (No. 166, hexagonal axes)
Unique sites:
Li 0.0000 0.0000 0.0000 [3 per cell]
Li 0.0000 0.0000 0.1415 [6 per cell]
Mn 0.0000 0.0000 0.5000 [3 per cell]
Mn 0.0000 0.5000 0.0000 [9 per cell]
O 0.0000 0.0000 0.2651 [6 per cell]
O 0.0174 0.5087 0.2641 [18 per cell]